Computed X-ray diffraction stick pattern
Compound: Mo2P2O11
Radiation: a wavelength of 1.5418 Å
Structure: a cell relaxed with PBE+U

Structure:
```
data_Mo2P2O11
_chemical_formula_sum 'Mo4 P4 O22'
_space_group_name_H-M_alt 'P 1 21/m 1'
_space_group_IT_number 11
_cell_length_a 7.632
_cell_length_b 6.438
_cell_length_c 9.152
_cell_angle_alpha 90.00
_cell_angle_beta 104.96
_cell_angle_gamma 90.00
loop_
_space_group_symop_operation_xyz
'x,y,z'
'-x,-y,-z'
'-x,y+1/2,-z'
'x,-y+1/2,z'
loop_
_atom_site_label
_atom_site_type_symbol
_atom_site_fract_x
_atom_site_fract_y
_atom_site_fract_z
Mo1 Mo 0.107 0.250 0.209
Mo2 Mo 0.320 0.250 0.643
P1 P 0.009 0.750 0.169
P2 P 0.432 0.750 0.618
O1 O 0.093 0.250 0.700
O2 O 0.124 0.750 0.850
O3 O 0.132 0.250 0.982
O4 O 0.136 0.561 0.196
O5 O 0.146 0.250 0.410
O6 O 0.308 0.557 0.614
O7 O 0.404 0.250 0.248
O8 O 0.463 0.250 0.819
O9 O 0.483 0.750 0.463
```

The 6 most intense peaks (10 to 90 degrees two-theta), in order of rising 2θ:
d/Å  2θ (°)  I (rel.)  h k l
5.057  17.5  47.6  1 0 1
4.850  18.3  100.0  1 1 0
3.765  23.6  69.0  2 0 -1
3.422  26.0  54.8  1 0 2
3.219  27.7  87.5  0 2 0
3.019  29.6  49.1  1 0 -3